[1]
Structure and calculated PXRD pattern of NbIn2Cl7 (DFT lattice parameters and positions (GGA-PBE); Cu Kα, 1.54184 Å).
Lines closer than 0.1° are merged.

Principal peaks in the range 2θ = 10–90°, in order of rising 2θ:
| 2theta | d [Å] | I (rel.) |
| --- | --- | --- |
| 13.6 | 6.533 | 79 |
| 17.4 | 5.082 | 100 |
| 22.2 | 4.004 | 43 |
| 23.3 | 3.818 | 30 |
| 25.6 | 3.480 | 43 |
| 32.4 | 2.763 | 37 |
| 41.1 | 2.197 | 33 |
| 46.0 | 1.973 | 28 |

Structural model:
a = 8.6735 Å, b = 8.6735 Å, c = 12.1354 Å
α = 117.94°, β = 117.94°, γ = 54.99°
Element x y z (fractional)
1 Nb 0.2283 0.7717 0.7500
2 Nb 0.7717 0.2283 0.2500
3 In 0.1303 0.6390 0.9812
4 In 0.3610 0.8697 0.5188
5 In 0.6390 0.1303 0.4812
6 In 0.8697 0.3610 0.0188
7 Cl 0.0164 0.3238 0.3024
8 Cl 0.0920 0.7625 0.5186
9 Cl 0.1007 0.8993 0.2500
10 Cl 0.2375 0.9080 0.9814
11 Cl 0.3238 0.0164 0.8024
12 Cl 0.4241 0.4728 0.8253
13 Cl 0.4728 0.4241 0.3253
14 Cl 0.5272 0.5759 0.6747
15 Cl 0.5759 0.5272 0.1747
16 Cl 0.6762 0.9836 0.1976
17 Cl 0.7625 0.0920 0.0186
18 Cl 0.8993 0.1007 0.7500
19 Cl 0.9080 0.2375 0.4814
20 Cl 0.9836 0.6762 0.6976

[2]
Structure and calculated PXRD pattern of Nb4InCl7 (DFT lattice parameters and positions (GGA-PBE); Cu Kα, 1.54184 Å).
Lines closer than 0.1° are merged.

Principal peaks in the range 2θ = 10–90°, in order of rising 2θ:
| 2theta | d [Å] | I (rel.) |
| --- | --- | --- |
| 11.1 | 7.984 | 66 |
| 14.5 | 6.109 | 40 |
| 22.2 | 4.013 | 40 |
| 22.5 | 3.950 | 91 |
| 30.3 | 2.947 | 81 |
| 37.9 | 2.375 | 63 |
| 40.0 | 2.254 | 100 |
| 47.9 | 1.901 | 39 |

Structural model:
a = 15.9682 Å, b = 6.1093 Å, c = 5.8937 Å
α = 90.00°, β = 90.00°, γ = 90.00°
Element x y z (fractional)
1 Nb 0.1544 0.2254 0.0000
2 Nb 0.2396 0.8949 0.9340
3 Nb 0.2604 0.1051 0.4340
4 Nb 0.3456 0.7746 0.5000
5 Nb 0.6544 0.7746 0.5000
6 Nb 0.7396 0.1051 0.4340
7 Nb 0.7604 0.8949 0.9340
8 Nb 0.8456 0.2254 0.0000
9 In 0.0000 0.7410 0.4438
10 In 0.5000 0.2590 0.9438
11 Cl 0.0000 0.1237 0.8927
12 Cl 0.1025 0.1825 0.3877
13 Cl 0.1262 0.6216 0.8291
14 Cl 0.2076 0.7108 0.3161
15 Cl 0.2924 0.2892 0.8161
16 Cl 0.3738 0.3784 0.3291
17 Cl 0.3975 0.8175 0.8877
18 Cl 0.5000 0.8763 0.3927
19 Cl 0.6025 0.8175 0.8877
20 Cl 0.6262 0.3784 0.3291
21 Cl 0.7076 0.2892 0.8161
22 Cl 0.7924 0.7108 0.3161
23 Cl 0.8738 0.6216 0.8291
24 Cl 0.8975 0.1825 0.3877

[3]
Structure and calculated PXRD pattern of NdIn4Cl6 (DFT lattice parameters and positions (GGA-PBE); Cu Kα, 1.54184 Å).
Lines closer than 0.1° are merged.

Principal peaks in the range 2θ = 10–90°, in order of rising 2θ:
| 2theta | d [Å] | I (rel.) |
| --- | --- | --- |
| 13.2 | 6.686 | 50 |
| 22.0 | 4.038 | 29 |
| 23.6 | 3.770 | 47 |
| 28.7 | 3.108 | 100 |
| 32.6 | 2.744 | 37 |
| 33.6 | 2.666 | 46 |
| 46.1 | 1.968 | 29 |
| 47.6 | 1.912 | 33 |

Structural model:
a = 8.4300 Å, b = 8.4300 Å, c = 10.9772 Å
α = 90.00°, β = 90.00°, γ = 90.00°
Element x y z (fractional)
1 Nd 0.0000 0.0000 0.0000
2 Nd 0.5000 0.5000 0.5000
3 In 0.1520 0.3480 0.2500
4 In 0.1520 0.3480 0.7500
5 In 0.3480 0.8480 0.2500
6 In 0.3480 0.8480 0.7500
7 In 0.6520 0.1520 0.2500
8 In 0.6520 0.1520 0.7500
9 In 0.8480 0.6520 0.2500
10 In 0.8480 0.6520 0.7500
11 Cl 0.0000 0.0000 0.2518
12 Cl 0.0000 0.0000 0.7482
13 Cl 0.2007 0.7438 0.0000
14 Cl 0.2438 0.7007 0.5000
15 Cl 0.2562 0.2007 0.0000
16 Cl 0.2993 0.2438 0.5000
17 Cl 0.5000 0.5000 0.2482
18 Cl 0.5000 0.5000 0.7518
19 Cl 0.7007 0.7562 0.5000
20 Cl 0.7438 0.7993 0.0000
21 Cl 0.7562 0.2993 0.5000
22 Cl 0.7993 0.2562 0.0000

[4]
Structure and calculated PXRD pattern of PuNpInCl6 (DFT lattice parameters and positions (GGA-PBE); Cu Kα, 1.54184 Å).
Lines closer than 0.1° are merged.

Principal peaks in the range 2θ = 10–90°, in order of rising 2θ:
| 2theta | d [Å] | I (rel.) |
| --- | --- | --- |
| 12.9 | 6.879 | 46 |
| 19.1 | 4.637 | 100 |
| 24.6 | 3.625 | 49 |
| 27.8 | 3.207 | 46 |
| 31.3 | 2.856 | 28 |
| 36.0 | 2.495 | 78 |
| 40.2 | 2.243 | 31 |
| 43.2 | 2.093 | 29 |

Structural model:
a = 7.2493 Å, b = 7.2493 Å, c = 13.7584 Å
α = 90.00°, β = 90.00°, γ = 120.00°
Element x y z (fractional)
1 Pu 0.3333 0.6667 0.2500
2 Pu 0.6667 0.3333 0.7500
3 Np 0.3333 0.6667 0.7500
4 Np 0.6667 0.3333 0.2500
5 In 0.0000 0.0000 0.0000
6 In 0.0000 0.0000 0.5000
7 Cl 0.0033 0.3686 0.6369
8 Cl 0.0033 0.6347 0.8631
9 Cl 0.3653 0.3686 0.8631
10 Cl 0.3653 0.9967 0.6369
11 Cl 0.3686 0.0033 0.1369
12 Cl 0.3686 0.3653 0.3631
13 Cl 0.6314 0.6347 0.6369
14 Cl 0.6314 0.9967 0.8631
15 Cl 0.6347 0.0033 0.3631
16 Cl 0.6347 0.6314 0.1369
17 Cl 0.9967 0.3653 0.1369
18 Cl 0.9967 0.6314 0.3631

[5]
Structure and calculated PXRD pattern of In4Cl3O (DFT lattice parameters and positions (GGA-PBE); Cu Kα, 1.54184 Å).
Lines closer than 0.1° are merged.

Principal peaks in the range 2θ = 10–90°, in order of rising 2θ:
| 2theta | d [Å] | I (rel.) |
| --- | --- | --- |
| 24.5 | 3.628 | 54 |
| 25.5 | 3.491 | 100 |
| 26.5 | 3.359 | 50 |
| 28.5 | 3.135 | 59 |
| 29.2 | 3.058 | 74 |
| 31.1 | 2.878 | 57 |
| 34.4 | 2.605 | 89 |
| 38.0 | 2.370 | 51 |

Structural model:
a = 11.3693 Å, b = 5.5811 Å, c = 7.2556 Å
α = 90.00°, β = 90.00°, γ = 90.00°
Element x y z (fractional)
1 In 0.0000 0.0845 0.0000
2 In 0.0000 0.8096 0.5143
3 In 0.1665 0.3660 0.6293
4 In 0.3335 0.6340 0.1293
5 In 0.5000 0.1904 0.0143
6 In 0.5000 0.9155 0.5000
7 In 0.6665 0.6340 0.1293
8 In 0.8335 0.3660 0.6293
9 Cl 0.0000 0.5937 0.0074
10 Cl 0.1711 0.0710 0.2882
11 Cl 0.3289 0.9290 0.7882
12 Cl 0.5000 0.4063 0.5074
13 Cl 0.6711 0.9290 0.7882
14 Cl 0.8289 0.0710 0.2882
15 O 0.0000 0.1299 0.6937
16 O 0.5000 0.8701 0.1937

[6]
Structure and calculated PXRD pattern of In2ClO2 (DFT lattice parameters and positions (GGA-PBE); Cu Kα, 1.54184 Å).
Lines closer than 0.1° are merged.

Principal peaks in the range 2θ = 10–90°, in order of rising 2θ:
| 2theta | d [Å] | I (rel.) |
| --- | --- | --- |
| 14.8 | 5.970 | 100 |
| 24.7 | 3.606 | 15 |
| 28.0 | 3.182 | 29 |
| 29.8 | 2.999 | 16 |
| 29.9 | 2.985 | 44 |
| 33.7 | 2.659 | 15 |
| 44.4 | 2.041 | 21 |
| 50.6 | 1.803 | 15 |

Structural model:
a = 7.2361 Å, b = 7.2361 Å, c = 7.2361 Å
α = 117.37°, β = 117.37°, γ = 94.63°
Element x y z (fractional)
1 In 0.2925 0.0000 0.2925
2 In 0.7075 0.0000 0.7075
3 In 0.7500 0.5425 0.7925
4 In 0.7500 0.9575 0.2075
5 Cl 0.1479 0.1479 0.0000
6 Cl 0.8979 0.3979 0.5000
7 O 0.5516 0.2395 0.6879
8 O 0.5516 0.8638 0.3121
9 O 0.6138 0.8016 0.8121
10 O 0.9895 0.8016 0.1879

[7]
Structure and calculated PXRD pattern of PmIn2ClO4 (DFT lattice parameters and positions (GGA-PBE); Cu Kα, 1.54184 Å).
Lines closer than 0.1° are merged.

Principal peaks in the range 2θ = 10–90°, in order of rising 2θ:
| 2theta | d [Å] | I (rel.) |
| --- | --- | --- |
| 10.0 | 8.811 | 35 |
| 24.6 | 3.614 | 13 |
| 30.3 | 2.946 | 100 |
| 31.9 | 2.802 | 30 |
| 45.8 | 1.982 | 21 |
| 52.9 | 1.732 | 23 |
| 55.9 | 1.644 | 34 |
| 63.1 | 1.473 | 10 |

Structural model:
a = 3.9631 Å, b = 3.9631 Å, c = 8.8107 Å
α = 90.00°, β = 90.00°, γ = 90.00°
Element x y z (fractional)
1 Pm 0.0000 0.0000 0.0000
2 In 0.5000 0.5000 0.2548
3 In 0.5000 0.5000 0.7452
4 Cl 0.0000 0.0000 0.5000
5 O 0.0000 0.5000 0.1647
6 O 0.0000 0.5000 0.8353
7 O 0.5000 0.0000 0.1647
8 O 0.5000 0.0000 0.8353

[8]
Structure and calculated PXRD pattern of Tl2InCl3O (DFT lattice parameters and positions (GGA-PBE); Cu Kα, 1.54184 Å).
Lines closer than 0.1° are merged.

Principal peaks in the range 2θ = 10–90°, in order of rising 2θ:
| 2theta | d [Å] | I (rel.) |
| --- | --- | --- |
| 22.7 | 3.924 | 90 |
| 27.2 | 3.284 | 69 |
| 27.6 | 3.231 | 100 |
| 31.5 | 2.844 | 37 |
| 33.0 | 2.711 | 45 |
| 34.8 | 2.575 | 38 |
| 42.3 | 2.134 | 48 |
| 43.3 | 2.091 | 41 |

Structural model:
a = 4.0228 Å, b = 5.4223 Å, c = 17.0630 Å
α = 90.00°, β = 90.00°, γ = 90.00°
Element x y z (fractional)
1 Tl 0.0000 0.0000 0.1479
2 Tl 0.0000 0.0000 0.8521
3 Tl 0.5000 0.5000 0.3521
4 Tl 0.5000 0.5000 0.6479
5 In 0.0000 0.0000 0.5000
6 In 0.5000 0.5000 0.0000
7 Cl 0.0000 0.0000 0.3409
8 Cl 0.0000 0.0000 0.6591
9 Cl 0.0000 0.5000 0.5000
10 Cl 0.5000 0.0000 0.0000
11 Cl 0.5000 0.5000 0.1591
12 Cl 0.5000 0.5000 0.8409
13 O 0.0000 0.5000 0.0000
14 O 0.5000 0.0000 0.5000

Copy entry 6 word for word.
Structure and calculated PXRD pattern of In2ClO2 (DFT lattice parameters and positions (GGA-PBE); Cu Kα, 1.54184 Å).
Lines closer than 0.1° are merged.

Principal peaks in the range 2θ = 10–90°, in order of rising 2θ:
| 2theta | d [Å] | I (rel.) |
| --- | --- | --- |
| 14.8 | 5.970 | 100 |
| 24.7 | 3.606 | 15 |
| 28.0 | 3.182 | 29 |
| 29.8 | 2.999 | 16 |
| 29.9 | 2.985 | 44 |
| 33.7 | 2.659 | 15 |
| 44.4 | 2.041 | 21 |
| 50.6 | 1.803 | 15 |

Structural model:
a = 7.2361 Å, b = 7.2361 Å, c = 7.2361 Å
α = 117.37°, β = 117.37°, γ = 94.63°
Element x y z (fractional)
1 In 0.2925 0.0000 0.2925
2 In 0.7075 0.0000 0.7075
3 In 0.7500 0.5425 0.7925
4 In 0.7500 0.9575 0.2075
5 Cl 0.1479 0.1479 0.0000
6 Cl 0.8979 0.3979 0.5000
7 O 0.5516 0.2395 0.6879
8 O 0.5516 0.8638 0.3121
9 O 0.6138 0.8016 0.8121
10 O 0.9895 0.8016 0.1879